Computed XRD peak list of Cs2NaFeC6N6 for a wavelength of 1.5418 Å, from the GGA-PBE geometry in the Materials Project.

Main lines, in order of rising 2θ (2θ from 10° to 80°):
| 2theta | I/Imax | (hkl) |
| --- | --- | --- |
| 16.24 | 21 | 0 0 2 |
| 22.86 | 24 | 0 2 0 |
| 23.02 | 100 | 1 1 -3 |
| 23.32 | 26 | 2 0 -2 |
| 28.13 | 20 | 0 2 2 |
| 28.51 | 22 | 2 0 -4 |
| 32.69 | 21 | 0 0 4 |
| 32.89 | 32 | 2 2 -2 |
| 40.25 | 23 | 0 2 4 |
| 40.81 | 23 | 3 1 -1 |

Structure:
a = 7.6282 Å, b = 7.7805 Å, c = 13.3447 Å
α = 90.00°, β = 124.80°, γ = 90.00°
Atoms (fractional coordinates):
1 Cs 0.2414 0.0416 0.2500
2 Cs 0.2414 0.4584 0.7500
3 Cs 0.7586 0.5416 0.2500
4 Cs 0.7586 0.9584 0.7500
5 Na 0.5000 0.0000 0.0000
6 Na 0.5000 0.5000 0.5000
7 Fe 0.0000 0.0000 0.5000
8 Fe 0.0000 0.5000 0.0000
9 C 0.1175 0.2008 0.4769
10 C 0.1175 0.2992 0.9769
11 C 0.1836 0.6406 0.9802
12 C 0.1836 0.8594 0.4802
13 C 0.2137 0.0080 0.6717
14 C 0.2137 0.4920 0.1717
15 C 0.7863 0.5080 0.8283
16 C 0.7863 0.9920 0.3283
17 C 0.8164 0.1406 0.5198
18 C 0.8164 0.3594 0.0198
19 C 0.8825 0.7008 0.0231
20 C 0.8825 0.7992 0.5231
21 N 0.1883 0.1755 0.9616
22 N 0.1883 0.3245 0.4616
23 N 0.2967 0.7264 0.9674
24 N 0.2967 0.7736 0.4674
25 N 0.3462 0.0145 0.7774
26 N 0.3462 0.4855 0.2774
27 N 0.6538 0.5145 0.7226
28 N 0.6538 0.9855 0.2226
29 N 0.7033 0.2264 0.5326
30 N 0.7033 0.2736 0.0326
31 N 0.8117 0.6755 0.5384
32 N 0.8117 0.8245 0.0384